(1)
# Sr3Co2Cl2O4
Simulated powder X-ray diffraction pattern, a wavelength of 1.5418 Å. Input: a structure optimized by DFT (PBE+U).

The 10 most intense peaks (2θ = 15–90°), by intensity:
35.58°, I 100.0
31.14°, I 60.3
58.32°, I 44.8
44.61°, I 38.0
39.50°, I 14.6
15.73°, I 13.7
64.93°, I 11.4
29.61°, I 11.3
73.76°, I 10.0
76.29°, I 10.0

```
Sr3Co2Cl2O4
1.0
-2.0310 2.0310 11.2672
2.0310 -2.0310 11.2672
2.0310 2.0310 -11.2672
Sr Co Cl O
3 2 2 4
Direct
0.0000 0.0000 0.0000
0.1492 0.1492 0.0000
0.8508 0.8508 0.0000
0.4196 0.4196 0.0000
0.5804 0.5804 0.0000
0.3004 0.3004 0.0000
0.6996 0.6996 0.0000
0.0775 0.5775 0.5000
0.4225 0.9225 0.5000
0.5775 0.0775 0.5000
0.9225 0.4225 0.5000
```



(2)
# Li4TiFe3O8
Simulated powder X-ray diffraction pattern, a wavelength of 1.5418 Å. Input: a structure optimized by DFT (PBE+U).

The 10 most intense peaks (2θ = 15–90°), by intensity:
18.16°, I 100.0
42.59°, I 56.3
62.05°, I 30.4
35.04°, I 30.1
42.91°, I 27.7
36.75°, I 17.3
46.75°, I 15.0
35.25°, I 14.1
56.35°, I 9.5
61.71°, I 7.7

```
Li4TiFe3O8
1.0
5.1706 -3.0061 0.0000
5.1706 3.0061 0.0000
-3.4726 0.0000 4.8895
Li Ti Fe O
4 1 3 8
Direct
0.0000 0.0000 0.0000
0.0000 0.5000 0.5000
0.5000 0.0000 0.5000
0.5000 0.5000 0.0000
0.0000 0.0000 0.5000
0.0000 0.5000 0.0000
0.5000 0.0000 0.0000
0.5000 0.5000 0.5000
0.2232 0.7618 0.2545
0.2382 0.7768 0.7455
0.2395 0.2395 0.7471
0.2546 0.2546 0.2338
0.7454 0.7454 0.7662
0.7605 0.7605 0.2529
0.7618 0.2232 0.2545
0.7768 0.2382 0.7455
```



(3)
# Fe3P2O16
Simulated powder X-ray diffraction pattern, a wavelength of 1.5418 Å. Input: a structure optimized by DFT (PBE+U).

The 10 most intense peaks (2θ = 15–90°), by intensity:
17.82°, I 100.0
24.17°, I 51.1
25.11°, I 49.5
27.69°, I 30.5
38.41°, I 30.0
36.78°, I 28.6
25.33°, I 23.5
41.05°, I 22.7
32.18°, I 21.6
35.45°, I 21.4

```
Fe3P2O16
1.0
4.5698 0.0000 0.0000
-0.5834 7.2876 0.0000
-0.2525 -1.4629 8.1860
Fe P O
3 2 16
Direct
0.0000 0.0000 0.0000
0.4960 0.6618 0.3993
0.5040 0.3382 0.6007
0.0108 0.6709 0.6706
0.9892 0.3291 0.3294
0.0813 0.8320 0.8196
0.1385 0.2500 0.4671
0.1695 0.4921 0.2739
0.3158 0.6043 0.6124
0.3183 0.8967 0.1423
0.3213 0.3003 0.8371
0.3534 0.9013 0.4202
0.4472 0.1930 0.9302
0.5528 0.8070 0.0698
0.6466 0.0987 0.5798
0.6787 0.6997 0.1629
0.6817 0.1033 0.8577
0.6842 0.3957 0.3876
0.8305 0.5079 0.7261
0.8615 0.7500 0.5329
0.9187 0.1680 0.1804
```



(4)
# Na3V5O10
Simulated powder X-ray diffraction pattern, a wavelength of 1.5418 Å. Input: a structure optimized by DFT (PBE+U).

The 10 most intense peaks (2θ = 15–90°), by intensity:
15.93°, I 100.0
40.15°, I 30.4
40.51°, I 29.8
41.68°, I 26.4
32.19°, I 11.2
60.21°, I 8.2
56.28°, I 7.6
56.46°, I 7.5
56.70°, I 7.2
62.15°, I 7.2

```
Na3V5O10
1.0
5.1211 0.0000 0.0000
-0.9312 7.1921 0.0000
-0.9675 -2.5520 11.8861
Na V O
6 10 20
Direct
0.2465 0.2515 0.2517
0.2472 0.4513 0.0553
0.2518 0.0500 0.4482
0.7482 0.9500 0.5518
0.7528 0.5487 0.9447
0.7535 0.7485 0.7483
0.0000 0.0000 0.0000
0.0015 0.4043 0.6019
0.0081 0.2052 0.8003
0.4926 0.2962 0.6984
0.4969 0.0936 0.8977
0.5000 0.5000 0.5000
0.5031 0.9064 0.1023
0.5074 0.7038 0.3016
0.9919 0.7948 0.1997
0.9985 0.5957 0.3981
0.1238 0.9724 0.8463
0.1245 0.1624 0.6454
0.1301 0.7670 0.0443
0.1345 0.5691 0.2426
0.1537 0.3660 0.4450
0.3451 0.1325 0.0553
0.3462 0.9298 0.2534
0.3515 0.3310 0.8615
0.3678 0.7332 0.4586
0.3769 0.5261 0.6542
0.6231 0.4739 0.3458
0.6322 0.2668 0.5414
0.6485 0.6690 0.1385
0.6538 0.0702 0.7466
0.6549 0.8675 0.9447
0.8463 0.6340 0.5550
0.8655 0.4309 0.7574
0.8699 0.2330 0.9557
0.8755 0.8376 0.3546
0.8762 0.0276 0.1537
```



(5)
# Li4Cr3Ni3Te2O16
Simulated powder X-ray diffraction pattern, a wavelength of 1.5418 Å. Input: a structure optimized by DFT (PBE+U).

The 10 most intense peaks (2θ = 15–90°), by intensity:
19.71°, I 100.0
19.53°, I 93.0
62.79°, I 44.8
35.37°, I 31.3
35.83°, I 31.2
35.62°, I 30.7
36.37°, I 29.6
36.17°, I 28.6
25.52°, I 28.1
32.81°, I 23.1

```
Li4Cr3Ni3Te2O16
1.0
5.1289 -2.9585 0.0000
5.1289 2.9585 0.0000
-0.1550 0.0000 9.6273
Li Cr Ni Te O
4 3 3 2 16
Direct
0.0000 0.0000 0.0000
0.0026 0.0026 0.5049
0.3342 0.3342 0.5810
0.6655 0.6655 0.0793
0.1671 0.6580 0.2770
0.6580 0.1671 0.2770
0.8268 0.8268 0.7759
0.1689 0.1689 0.2772
0.3392 0.8267 0.7773
0.8267 0.3392 0.7773
0.3290 0.3290 0.0046
0.6638 0.6638 0.5065
0.0344 0.4866 0.1398
0.1659 0.1659 0.9007
0.1663 0.6551 0.8996
0.3364 0.3364 0.3812
0.3366 0.8278 0.3994
0.4801 0.4801 0.1454
0.4866 0.0344 0.1398
0.5177 0.5177 0.6373
0.5245 0.9656 0.6378
0.6551 0.1663 0.8996
0.6689 0.6689 0.8797
0.8278 0.3366 0.3994
0.8288 0.8288 0.3955
0.9656 0.5245 0.6378
0.9951 0.9951 0.1867
0.9950 0.9950 0.6912
```



(6)
# Li4Mn2Co3O10
Simulated powder X-ray diffraction pattern, a wavelength of 1.5418 Å. Input: a structure optimized by DFT (PBE+U).

The 10 most intense peaks (2θ = 15–90°), by intensity:
44.32°, I 100.0
18.44°, I 93.7
44.04°, I 54.3
18.85°, I 30.1
27.34°, I 29.2
63.87°, I 26.4
23.21°, I 19.6
36.58°, I 19.4
63.41°, I 13.6
65.06°, I 13.3

```
Li4Mn2Co3O10
1.0
6.4990 0.0000 0.0000
-3.1824 6.9023 0.0000
-0.1568 -0.7537 7.6640
Li Mn Co O
8 4 6 20
Direct
0.0897 0.4118 0.0877
0.2409 0.4916 0.7517
0.3097 0.2057 0.3009
0.4014 0.5935 0.3983
0.5986 0.4065 0.6017
0.6903 0.7943 0.6991
0.7591 0.5084 0.2483
0.9103 0.5882 0.9123
0.0469 0.6986 0.5453
0.4613 0.3032 0.9499
0.5387 0.6968 0.0501
0.9531 0.3014 0.4547
0.0000 0.0000 0.0000
0.1462 0.1011 0.6526
0.3516 0.8993 0.8489
0.5000 0.0000 0.5000
0.6484 0.1007 0.1511
0.8538 0.8989 0.3474
0.0488 0.8585 0.7648
0.0682 0.5369 0.3481
0.1474 0.2365 0.8747
0.1581 0.9491 0.4426
0.2489 0.3316 0.5279
0.2497 0.6657 0.9643
0.3489 0.0610 0.0590
0.3621 0.7626 0.6282
0.4262 0.4548 0.1551
0.4453 0.1414 0.7314
0.5547 0.8586 0.2686
0.5738 0.5452 0.8449
0.6379 0.2374 0.3718
0.6511 0.9390 0.9410
0.7503 0.3343 0.0357
0.7511 0.6684 0.4721
0.8419 0.0509 0.5574
0.8526 0.7635 0.1253
0.9318 0.4631 0.6519
0.9512 0.1415 0.2352
```



(7)
# MgV4O8F4
Simulated powder X-ray diffraction pattern, a wavelength of 1.5418 Å. Input: a structure optimized by DFT (PBE+U).

The 10 most intense peaks (2θ = 15–90°), by intensity:
22.87°, I 100.0
24.11°, I 94.7
24.49°, I 92.4
33.78°, I 28.1
46.73°, I 26.9
32.50°, I 22.9
50.19°, I 20.7
33.54°, I 19.8
53.77°, I 19.4
49.38°, I 19.0

```
MgV4O8F4
1.0
5.0654 0.0000 0.0000
2.4595 4.6035 0.0000
2.2800 -1.0855 8.9746
Mg V O F
1 4 8 4
Direct
0.0000 0.0000 0.0000
0.1781 0.4283 0.1927
0.2869 0.8468 0.6682
0.7005 0.1844 0.4336
0.7018 0.6417 0.9427
0.0261 0.1923 0.3393
0.3200 0.6597 0.0820
0.3971 0.0630 0.5655
0.4045 0.8711 0.8307
0.4562 0.3562 0.3260
0.5476 0.4965 0.5818
0.9516 0.3899 0.0834
0.9934 0.7064 0.8452
0.5682 0.0421 0.0798
0.8274 0.2681 0.8412
0.8537 0.7812 0.3260
0.9540 0.9204 0.5843
```